# LiC4
Simulated powder diffractogram, Cu Kα (λ = 1.5418 Å). Input: a structure optimized by DFT (GGA-PBE).
Neutral-atom scattering factors, no anomalous dispersion.

Largest 10 diffraction maxima, in order of falling intensity, 10 to 90 degrees two-theta:
d 6.766, rel. 100; d 2.048, rel. 53; d 1.241, rel. 10; d 2.149, rel. 10; d 1.145, rel. 8; d 1.692, rel. 7; d 1.556, rel. 6; d 1.329, rel. 6; d 1.814, rel. 4; d 2.255, rel. 3

Crystal structure
```
LiC4
1.0
2.481 0.000 0.000
-1.241 2.149 0.000
0.000 0.000 6.766
Li C
1 4
Cartesian
0.000 0.000 0.000
0.000 1.433 1.614
0.000 1.433 3.095
1.241 0.716 3.671
1.241 0.716 5.152
```